Record 1
This entry pairs a crystal structure of NaHfTe4Au3 with its theoretical powder XRD pattern. Radiation: a wavelength of 1.5418 Å. Structure: a crystal structure in OQMD, relaxed with GGA-PBE.
No peak broadening, texture or thermal motion is included.

Main lines, by angle (2θ = 15–90°):
3.679 Å, 24.19 deg, intensity 100
2.824 Å, 31.68 deg, intensity 55
2.765 Å, 32.38 deg, intensity 29
2.561 Å, 35.03 deg, intensity 49
2.474 Å, 36.31 deg, intensity 39
2.432 Å, 36.96 deg, intensity 54
2.354 Å, 38.23 deg, intensity 35
2.216 Å, 40.72 deg, intensity 49
2.200 Å, 41.02 deg, intensity 82
2.151 Å, 42.00 deg, intensity 42

a b c (Å): 6.674 8.862 9.518
angles (deg): 90.00 98.38 90.00
Sites, in units of the cell vectors:
Na 0.169 0.250 0.048
Na 0.831 0.750 0.952
Hf 0.228 0.750 0.284
Hf 0.772 0.250 0.716
Te 0.033 0.003 0.762
Te 0.033 0.497 0.762
Te 0.402 0.750 0.045
Te 0.496 0.250 0.453
Te 0.504 0.750 0.547
Te 0.598 0.250 0.955
Te 0.967 0.503 0.238
Te 0.967 0.997 0.238
Au 0.211 0.531 0.515
Au 0.211 0.969 0.515
Au 0.320 0.250 0.707
Au 0.680 0.750 0.293
Au 0.789 0.031 0.485
Au 0.789 0.469 0.485

=====

Record 2
This entry pairs a crystal structure of Ba4Ir with its theoretical powder XRD pattern. Radiation: a wavelength of 1.5418 Å. Structure: a crystal structure in OQMD, relaxed with GGA-PBE.
No peak broadening, texture or thermal motion is included.

Main lines, by angle (2θ = 15–90°):
4.442 Å, 19.99 deg, intensity 32
3.627 Å, 24.54 deg, intensity 43
3.141 Å, 28.41 deg, intensity 100
2.810 Å, 31.85 deg, intensity 21
2.565 Å, 34.98 deg, intensity 16
2.221 Å, 40.62 deg, intensity 76
1.894 Å, 48.03 deg, intensity 20
1.814 Å, 50.31 deg, intensity 27
1.405 Å, 66.57 deg, intensity 36
1.282 Å, 73.91 deg, intensity 26

a b c (Å): 6.282 6.282 6.282
angles (deg): 90.00 90.00 90.00
Sites, in units of the cell vectors:
Ba 0.000 0.000 0.000
Ba 0.000 0.500 0.500
Ba 0.500 0.000 0.500
Ba 0.500 0.500 0.000
Ir 0.500 0.500 0.500

=====

Record 3
This entry pairs a crystal structure of Pd4C3 with its theoretical powder XRD pattern. Radiation: a wavelength of 1.5418 Å. Structure: a crystal structure in OQMD, relaxed with GGA-PBE.
No peak broadening, texture or thermal motion is included.

Main lines, by angle (2θ = 15–90°):
2.657 Å, 33.73 deg, intensity 27
2.473 Å, 36.34 deg, intensity 43
2.458 Å, 36.55 deg, intensity 83
2.278 Å, 39.57 deg, intensity 100
1.667 Å, 55.08 deg, intensity 14
1.559 Å, 59.26 deg, intensity 38
1.466 Å, 63.46 deg, intensity 17
1.352 Å, 69.54 deg, intensity 15
1.319 Å, 71.53 deg, intensity 35
1.287 Å, 73.62 deg, intensity 15

a b c (Å): 10.053 10.053 10.053
angles (deg): 17.85 17.85 17.85
Sites, in units of the cell vectors:
Pd 0.000 0.000 0.000
Pd 0.165 0.165 0.165
Pd 0.581 0.581 0.581
Pd 0.746 0.746 0.746
C 0.300 0.300 0.300
C 0.446 0.446 0.446
C 0.873 0.873 0.873

=====

Record 4
This entry pairs a crystal structure of CsKCu with its theoretical powder XRD pattern. Radiation: a wavelength of 1.5418 Å. Structure: a crystal structure in OQMD, relaxed with GGA-PBE.
No peak broadening, texture or thermal motion is included.

Main lines, by angle (2θ = 15–90°):
5.026 Å, 17.65 deg, intensity 48
4.352 Å, 20.40 deg, intensity 22
3.078 Å, 29.01 deg, intensity 100
2.625 Å, 34.16 deg, intensity 28
2.176 Å, 41.50 deg, intensity 18
1.997 Å, 45.42 deg, intensity 13
1.777 Å, 51.43 deg, intensity 38
1.539 Å, 60.13 deg, intensity 12
1.376 Å, 68.13 deg, intensity 16
1.163 Å, 83.02 deg, intensity 18

a b c (Å): 6.155 6.155 6.155
angles (deg): 60.00 60.00 60.00
Sites, in units of the cell vectors:
Cs 0.000 0.000 0.000
K 0.500 0.500 0.500
Cu 0.250 0.250 0.250

=====

- Number 2 is which compound?
  Ba4Ir